The following is a theoretical powder diffraction line list of EuB4Ir4. It was derived from a PBE-relaxed structure, using copper Kα.

Most intense lines, 2θ = 10–90°, in order of rising 2θ:
| h k l | two_theta | I/Imax |
| --- | --- | --- |
| 1 1 0 | 16.28 | 202 |
| 1 1 1 | 27.76 | 201 |
| 1 2 1 | 34.44 | 1000 |
| 3 1 0 | 36.92 | 608 |
| 2 2 1 | 40.13 | 254 |
| 1 0 2 | 47.18 | 321 |
| 3 2 1 | 48.37 | 157 |
| 3 0 2 | 58.70 | 148 |
| 4 3 1 | 64.93 | 175 |
| 4 1 2 | 68.97 | 194 |

Atomic structure:
a b c (Å): 7.700 7.700 3.981
angles (deg): 90.00 90.00 90.00
Space group P4_2/n (No. 86, origin choice 2)
Unique sites:
Eu 0.250 0.250 0.250 [2 per cell]
B 0.029 0.592 0.142 [8 per cell]
Ir 0.094 0.861 0.142 [8 per cell]